Record 1
Starting from DFT lattice parameters and positions (PBE), the powder diffractogram of U4Al18Ni5 was simulated for Cu Kα X-rays.

Largest 10 diffraction maxima, in order of falling intensity, 2θ from 15° to 90°:
d/Å, 2θ/deg, I_rel
2.448, 36.7, 100
3.861, 23.0, 85
5.171, 17.1, 77
2.467, 36.4, 73
2.802, 31.9, 62
5.343, 16.6, 62
2.755, 32.5, 57
2.014, 45.0, 50
2.460, 36.5, 49
3.561, 25.0, 39

Crystal structure
```
U4Al18Ni5
1.0
7.7904 -2.0139 0.0000
7.7904 2.0139 0.0000
-7.3220 0.0000 14.2447
U Al Ni
4 18 5
Direct
0.0000 0.0000 0.0000
0.2110 0.2110 0.4474
0.3305 0.3305 0.2263
0.5369 0.5369 0.6753
0.0636 0.0636 0.5488
0.1386 0.1386 0.2257
0.1952 0.1952 0.7349
0.1986 0.1986 0.0139
0.3340 0.3340 0.6682
0.3789 0.3789 0.8565
0.4040 0.4040 0.4534
0.4814 0.4814 0.1310
0.5683 0.5683 0.3149
0.5701 0.5701 0.8964
0.6653 0.6653 0.1148
0.7050 0.7050 0.5956
0.7440 0.7440 0.8825
0.7714 0.7714 0.3381
0.8396 0.8396 0.0791
0.8738 0.8738 0.5613
0.9546 0.9546 0.7706
0.9721 0.9721 0.3642
0.1261 0.1261 0.8473
0.3345 0.3345 0.9857
0.5562 0.5562 0.4586
0.7974 0.7974 0.7626
0.9874 0.9874 0.2221
```



Record 2
Starting from DFT lattice parameters and positions (PBE), the powder diffractogram of Nd2TmIn8 was simulated for Cu Kα X-rays.

Largest 10 diffraction maxima, in order of falling intensity, 2θ from 15° to 90°:
d/Å, 2θ/deg, I_rel
2.661, 33.7, 100
2.332, 38.6, 37
1.402, 66.7, 27
1.620, 56.8, 19
2.251, 40.1, 13
1.649, 55.7, 13
1.330, 70.8, 10
1.366, 68.7, 8
4.665, 19.0, 5
3.239, 27.5, 5

Crystal structure
```
Nd2TmIn8
1.0
4.6647 0.0000 0.0000
0.0000 4.6647 0.0000
0.0000 0.0000 13.5062
Nd Tm In
2 1 8
Direct
0.0000 0.0000 0.1722
0.0000 0.0000 0.8278
0.0000 0.0000 0.5000
0.0000 0.5000 0.0000
0.0000 0.5000 0.3504
0.0000 0.5000 0.6496
0.5000 0.0000 0.0000
0.5000 0.0000 0.3504
0.5000 0.0000 0.6496
0.5000 0.5000 0.1800
0.5000 0.5000 0.8200
```



Record 3
Starting from DFT lattice parameters and positions (PBE), the powder diffractogram of ErTm2Hg was simulated for Cu Kα X-rays.

Largest 10 diffraction maxima, in order of falling intensity, 2θ from 15° to 90°:
d/Å, 2θ/deg, I_rel
2.721, 32.9, 100
2.526, 35.5, 27
2.706, 33.1, 18
2.611, 34.3, 16
1.493, 62.2, 16
1.815, 50.3, 11
1.388, 67.5, 10
2.346, 38.4, 9
1.661, 55.3, 9
2.054, 44.1, 9

Crystal structure
```
ErTm2Hg
1.0
5.0511 0.0000 0.0000
0.0000 5.2216 4.1086
0.0000 -5.2216 4.1086
Er Tm Hg
2 4 2
Direct
0.2500 0.1137 0.8863
0.7500 0.8863 0.1137
0.2500 0.5313 0.3051
0.2500 0.5992 0.8182
0.7500 0.3051 0.5313
0.7500 0.8182 0.5992
0.2500 0.0319 0.3875
0.7500 0.3875 0.0319
```